1.
Diffraction record for Sm5Al6. The X-ray diffraction stick pattern is computed, not measured: it uses a DFT-relaxed cell (PBE, Alexandria) and CuKα.
Intensities are scaled so that the largest is 100.

Atomic structure:
```
Sm5Al6
1.0
5.9551 0.0000 0.0000
0.0000 7.3675 0.0000
-1.5588 0.0000 6.3155
Sm Al
5 6
direct
0.0000 0.0000 0.0000 Sm
0.1917 0.5000 0.7719 Sm
0.2687 0.0000 0.5861 Sm
0.7313 0.0000 0.4139 Sm
0.8083 0.5000 0.2281 Sm
0.3181 0.3201 0.3025 Al
0.3181 0.6799 0.3025 Al
0.5000 0.1812 0.0000 Al
0.5000 0.8188 0.0000 Al
0.6819 0.3201 0.6975 Al
0.6819 0.6799 0.6975 Al
```

Largest 10 diffraction maxima, in order of rising 2θ, 10° ≤ 2θ ≤ 90°:
- 2θ 21.82, intensity 26
- 2θ 23.21, intensity 56
- 2θ 24.16, intensity 89
- 2θ 30.81, intensity 100
- 2θ 31.29, intensity 71
- 2θ 33.15, intensity 97
- 2θ 33.75, intensity 92
- 2θ 37.18, intensity 33
- 2θ 47.21, intensity 26
- 2θ 51.13, intensity 29


2.
Diffraction record for Sm3Al7. The X-ray diffraction stick pattern is computed, not measured: it uses a DFT-relaxed cell (PBE, Alexandria) and CuKα.
Intensities are scaled so that the largest is 100.

Atomic structure:
```
Sm3Al7
1.0
2.5743 -6.2805 0.0000
2.5743 6.2805 0.0000
0.0000 0.0000 7.1495
Sm Al
3 7
direct
0.0000 0.0000 0.0000 Sm
0.1533 0.8467 0.5000 Sm
0.8467 0.1533 0.5000 Sm
0.0000 0.5000 0.0000 Al
0.3886 0.6114 0.2046 Al
0.3886 0.6114 0.7954 Al
0.5000 0.0000 0.0000 Al
0.5000 0.5000 0.5000 Al
0.6114 0.3886 0.2046 Al
0.6114 0.3886 0.7954 Al
```

Largest 10 diffraction maxima, in order of rising 2θ, 10° ≤ 2θ ≤ 90°:
- 2θ 18.63, intensity 29
- 2θ 18.81, intensity 21
- 2θ 24.91, intensity 34
- 2θ 30.22, intensity 100
- 2θ 31.11, intensity 28
- 2θ 31.28, intensity 52
- 2θ 34.85, intensity 21
- 2θ 39.90, intensity 23
- 2θ 47.33, intensity 32
- 2θ 62.84, intensity 15


3.
Diffraction record for Sm5AlSn5. The X-ray diffraction stick pattern is computed, not measured: it uses a DFT-relaxed cell (PBE, Alexandria) and CuKα.
Intensities are scaled so that the largest is 100.

Atomic structure:
```
Sm5AlSn5
1.0
5.7010 -2.5912 0.0000
5.7010 2.5912 0.0000
-3.5425 0.0000 10.8535
Sm Al Sn
5 1 5
direct
0.0000 0.0000 0.0000 Sm
0.2779 0.2779 0.6240 Sm
0.3728 0.3728 0.2113 Sm
0.6272 0.6272 0.7887 Sm
0.7221 0.7221 0.3760 Sm
0.0000 0.0000 0.5000 Al
0.0764 0.0764 0.2816 Sn
0.3040 0.3040 0.9181 Sn
0.5000 0.5000 0.5000 Sn
0.6960 0.6960 0.0819 Sn
0.9236 0.9236 0.7184 Sn
```

Largest 10 diffraction maxima, in order of rising 2θ, 10° ≤ 2θ ≤ 90°:
- 2θ 29.14, intensity 100
- 2θ 30.15, intensity 36
- 2θ 31.98, intensity 68
- 2θ 33.28, intensity 90
- 2θ 34.62, intensity 56
- 2θ 47.83, intensity 54
- 2θ 58.72, intensity 15
- 2θ 60.34, intensity 27
- 2θ 61.19, intensity 16
- 2θ 81.93, intensity 16